Structure and theoretical powder X-ray diffraction pattern of Ce2ThSb (a DFT-relaxed cell (PBE, Alexandria); Cu Kα (weighted mean of Kα1 and Kα2)).
Peak positions follow from Bragg's law for the DFT cell and can differ from measured ones.

The 8 most intense peaks (2θ from 10° to 90°), sorted by position:
hkl, two_theta, I (rel.)
1 0 1, 25.19, 19
1 1 0, 30.65, 74
1 0 2, 33.98, 100
2 0 0, 43.90, 28
2 1 2, 56.65, 47
1 1 4, 62.83, 12
3 1 0, 72.46, 13
3 0 2, 74.32, 10

Lattice parameters (Å, degrees): 4.125 4.125 6.864 90.00 90.00 90.00
Sites, in units of the cell vectors:
1 Ce 0.000 0.000 0.208
2 Ce 0.000 0.000 0.792
3 Th 0.500 0.500 0.500
4 Sb 0.500 0.500 0.000